Calculated powder diffraction line list of GeSb2Te4 for Cu Kα (weighted mean of Kα1 and Kα2), from a cell relaxed with GGA-PBE.

Main lines, in order of rising 2θ (2θ = 10–90°):
| 2θ/deg | I/Imax |
| --- | --- |
| 28.22 | 100 |
| 38.68 | 34 |
| 41.93 | 37 |
| 44.19 | 5 |
| 45.70 | 5 |
| 51.31 | 19 |
| 58.36 | 10 |
| 63.74 | 10 |
| 68.34 | 16 |
| 69.51 | 5 |
| 74.42 | 10 |
| 76.59 | 6 |

Structure:
```
7
Lattice="2.1547 1.2440 13.8971 -2.1547 1.2440 13.8971 0.0000 -2.4881 13.8971" Properties=species:S:1:pos:R:3 pbc="T T T"
Ge 0.0000 0.0000 0.0000
Sb 0.0000 0.0000 17.8243
Sb 0.0000 0.0000 35.6907
Te 0.0000 0.0000 5.8748
Te 0.0000 0.0000 12.4787
Te 0.0000 0.0000 23.5017
Te 0.0000 0.0000 29.9870
```